Entry 1:
Simulated PXRD pattern of NaTl2AgF8 for a wavelength of 1.5418 Å, from a DFT-relaxed cell (PBE, Alexandria).

Structural model:
```
12
Lattice="-2.7987 2.7987 5.4439 2.7987 -2.7987 5.4439 2.7987 2.7987 -5.4439" Properties=species:S:1:pos:R:3 pbc="T T T"
Na 0.0000 0.0000 0.0000
Tl 2.7987 0.0000 2.7220
Tl 0.0000 0.0000 5.4439
Ag 0.0000 2.7987 2.7220
F 1.3725 1.5158 -1.3370
F 1.4262 -1.2829 4.1069
F 1.5158 1.3725 1.3370
F 4.0816 1.3725 1.3370
F 1.3725 4.0816 -1.3370
F 1.4262 1.2829 4.1069
F -1.2829 1.4262 6.7809
F 1.2829 1.4262 6.7809
```

Main lines, in order of rising 2θ (5 to 70 degrees two-theta):
- 2θ = 17.82°, d 4.978, I = 41
- 2θ = 27.87°, d 3.201, I = 100
- 2θ = 31.98°, d 2.799, I = 17
- 2θ = 36.84°, d 2.440, I = 12
- 2θ = 45.85°, d 1.979, I = 21
- 2θ = 46.54°, d 1.951, I = 40
- 2θ = 54.51°, d 1.683, I = 31
- 2θ = 55.73°, d 1.650, I = 15


Entry 2:
Simulated PXRD pattern of NdDy2Y3 for a wavelength of 1.5418 Å, from a DFT-relaxed cell (PBE, Alexandria).

Structural model:
```
12
Lattice="6.8132 0.0000 0.0000 -1.8314 6.8727 0.0000 -1.1309 -2.1544 8.3825" Properties=species:S:1:pos:R:3 pbc="T T T"
Nd 1.2810 1.2672 0.2329
Nd 2.5699 3.4511 8.1495
Dy 0.2625 4.6722 5.5624
Dy 1.1926 1.2252 5.5424
Dy 2.6583 3.4931 2.8401
Dy 3.5884 0.0461 2.8200
Y -1.6050 5.9891 2.8025
Y -0.6920 2.5789 2.8219
Y 0.3880 4.6960 0.1712
Y 3.4630 0.0223 8.2112
Y 4.5429 2.1394 5.5605
Y 5.4559 -1.2708 5.5799
```

Main lines, in order of rising 2θ (5 to 70 degrees two-theta):
- 2θ = 29.87°, d 2.991, I = 50
- 2θ = 31.30°, d 2.858, I = 60
- 2θ = 31.54°, d 2.836, I = 100
- 2θ = 32.03°, d 2.794, I = 48
- 2θ = 32.37°, d 2.766, I = 29
- 2θ = 32.49°, d 2.756, I = 28
- 2θ = 56.79°, d 1.621, I = 16
- 2θ = 57.51°, d 1.603, I = 17


Entry 3:
Simulated PXRD pattern of Li7N2F for a wavelength of 1.5418 Å, from a DFT-relaxed cell (PBE, Alexandria).

Structural model:
```
10
Lattice="1.7732 1.0238 9.7707 -1.7732 1.0238 9.7707 0.0000 -2.0476 9.7707" Properties=species:S:1:pos:R:3 pbc="T T T"
Li 0.0000 0.0000 0.0000
Li 0.0000 0.0000 3.8810
Li 0.0000 0.0000 8.1053
Li 0.0000 0.0000 11.9867
Li 0.0000 0.0000 17.3253
Li 0.0000 0.0000 21.2068
Li 0.0000 0.0000 25.4310
N 0.0000 0.0000 1.9482
N 0.0000 0.0000 27.3638
F 0.0000 0.0000 14.6560
```

Main lines, in order of rising 2θ (5 to 70 degrees two-theta):
- 2θ = 9.05°, d 9.771, I = 16
- 2θ = 27.38°, d 3.257, I = 71
- 2θ = 29.72°, d 3.006, I = 100
- 2θ = 32.92°, d 2.721, I = 52
- 2θ = 45.04°, d 2.013, I = 15
- 2θ = 51.54°, d 1.773, I = 84
- 2θ = 52.93°, d 1.730, I = 40
- 2θ = 59.34°, d 1.557, I = 29